Entry 1:
Calculated X-ray powder pattern of Nd2PuHg4 for a wavelength of 1.5418 Å, from a crystal structure in Alexandria, relaxed with GGA-PBE.
Intensities are scaled so that the largest is 100.

Structure:
Cell: 5.3365 5.3365 7.2875 Å, 90.00 90.00 90.00°
Fractional coordinates of all 7 atoms:
Nd 0.0000 0.0000 0.0000
Nd 0.5000 0.5000 0.5000
Pu 0.0000 0.0000 0.5000
Hg 0.0000 0.5000 0.2392
Hg 0.0000 0.5000 0.7608
Hg 0.5000 0.0000 0.2392
Hg 0.5000 0.0000 0.7608

Peak list (6 most intense, 2θ from 5° to 70°, sorted by position)
d 3.351, I 9, (1 1 1); d 2.668, I 53, (2 0 0); d 2.621, I 100, (1 1 2); d 1.887, I 20, (2 2 0); d 1.531, I 40, (3 1 2); d 1.505, I 18, (2 0 4)



Entry 2:
Calculated X-ray powder pattern of La7AsS5 for a wavelength of 1.5418 Å, from a crystal structure in Alexandria, relaxed with GGA-PBE.
Intensities are scaled so that the largest is 100.

Structure:
Cell: 4.1478 24.3755 7.1854 Å, 90.00 106.71 90.00°
Fractional coordinates of all 26 atoms:
La 0.0310 0.2500 0.0616
La 0.1377 0.5365 0.2753
La 0.1377 0.9635 0.2753
La 0.3115 0.1805 0.6230
La 0.3115 0.3195 0.6230
La 0.4084 0.6126 0.8170
La 0.4084 0.8874 0.8170
La 0.5916 0.1126 0.1830
La 0.5916 0.3874 0.1830
La 0.6885 0.6805 0.3770
La 0.6885 0.8195 0.3770
La 0.8623 0.0365 0.7247
La 0.8623 0.4635 0.7247
La 0.9690 0.7500 0.9384
As 0.3100 0.7500 0.6200
As 0.6900 0.2500 0.3800
S 0.0497 0.6429 0.0994
S 0.0497 0.8571 0.0994
S 0.2266 0.0726 0.4535
S 0.2266 0.4274 0.4535
S 0.5000 0.0000 0.0000
S 0.5000 0.5000 0.0000
S 0.7734 0.5726 0.5465
S 0.7734 0.9274 0.5465
S 0.9503 0.1429 0.9006
S 0.9503 0.3571 0.9006

Peak list (6 most intense, 2θ from 5° to 70°, sorted by position)
d 3.327, I 42, (1 4 -1); d 3.107, I 91, (0 7 1); d 2.983, I 93, (1 2 1); d 2.877, I 53, (1 3 1); d 2.075, I 100, (2 0 -1); d 1.725, I 33, (2 7 0)